Structure and calculated X-ray diffraction stick pattern of AlNiO3 (a GGA+U-relaxed structure; Cu Kα).

The 10 most intense peaks (10° ≤ 2θ ≤ 80°), in order of rising 2θ:
| hkl | d (Å) | I (rel.) |
| --- | --- | --- |
| 0 0 2 | 5.515 | 259 |
| 0 0 4 | 2.757 | 325 |
| 1 1 1 | 2.627 | 1000 |
| 1 1 2 | 2.429 | 199 |
| 1 1 3 | 2.179 | 103 |
| 1 1 5 | 1.710 | 279 |
| 3 0 0 | 1.562 | 335 |
| 1 1 6 | 1.520 | 141 |
| 3 0 4 | 1.359 | 198 |
| 2 2 1 | 1.343 | 96 |

Cell and atoms:
Cell: 5.411 5.411 11.029 Å, 90.00 90.00 120.00°
Sites, in units of the cell vectors:
Al 0.000 0.000 0.000
Al 0.000 0.000 0.500
Al 0.333 0.667 0.479
Al 0.333 0.667 0.979
Al 0.667 0.333 0.479
Al 0.667 0.333 0.979
Ni 0.000 0.333 0.236
Ni 0.000 0.667 0.736
Ni 0.333 0.000 0.236
Ni 0.333 0.333 0.736
Ni 0.667 0.000 0.736
Ni 0.667 0.667 0.236
O 0.000 0.000 0.201
O 0.000 0.000 0.701
O 0.000 0.312 0.408
O 0.000 0.359 0.066
O 0.000 0.641 0.566
O 0.000 0.688 0.908
O 0.312 0.000 0.408
O 0.312 0.312 0.908
O 0.333 0.667 0.256
O 0.333 0.667 0.756
O 0.359 0.000 0.066
O 0.359 0.359 0.566
O 0.641 0.000 0.566
O 0.641 0.641 0.066
O 0.667 0.333 0.256
O 0.667 0.333 0.756
O 0.688 0.000 0.908
O 0.688 0.688 0.408